Simulated powder diffraction line list
Compound: Ba2Co3O7
Radiation: a wavelength of 1.5418 Å
Structure: a structure optimized by DFT (PBE+U)
Lines closer than 0.1° are merged.

Top 10 peaks for 2θ = 10–90°, low angle first:
Position (°2θ)	I (rel.)	hkl
13.63	28	0 0 2
27.47	34	0 1 2
27.55	43	1 0 2
31.60	100	1 0 3
33.89	52	1 1 0
34.53	37	0 0 5
36.66	20	1 1 2
48.58	19	0 2 0
49.13	32	1 1 5
62.31	24	1 0 8

Structural model:
```
data_Ba2Co3O7
_symmetry_space_group_name_H-M 'P m m 2'
_symmetry_Int_Tables_number 25
_cell_length_a 3.7339
_cell_length_b 3.7483
_cell_length_c 12.9971
_cell_angle_alpha 90.00
_cell_angle_beta 90.00
_cell_angle_gamma 90.00
loop_
_symmetry_equiv_pos_as_xyz
'x,y,z'
'-x,-y,z'
'-x,y,z'
'x,-y,z'
loop_
_atom_site_label
_atom_site_fract_x
_atom_site_fract_y
_atom_site_fract_z
Ba1 0.0000 0.0000 0.0000
Ba2 0.0000 0.0000 0.3859
Co1 0.5000 0.5000 0.1927
Co2 0.5000 0.5000 0.5655
Co3 0.5000 0.5000 0.8180
O1 0.0000 0.5000 0.5455
O2 0.0000 0.5000 0.8345
O3 0.5000 0.0000 0.1924
O4 0.5000 0.0000 0.5610
O5 0.5000 0.0000 0.8322
O6 0.5000 0.5000 0.0539
O7 0.5000 0.5000 0.3310
```



Simulated powder diffraction line list
Compound: LiVPO4
Radiation: a wavelength of 1.5418 Å
Structure: a structure optimized by DFT (PBE+U)
Lines closer than 0.1° are merged.

Top 10 peaks for 2θ = 10–90°, low angle first:
Position (°2θ)	I (rel.)	hkl
18.75	37	0 1 1
18.90	17	1 0 1
21.78	31	0 0 2
30.98	29	1 1 2
31.16	40	2 0 0
36.38	100	1 2 1
36.57	63	1 0 3
44.38	49	0 0 4
59.02	16	3 0 3
64.58	49	2 2 4

Structural model:
```
data_LiVPO4
_symmetry_space_group_name_H-M 'I m m a'
_symmetry_Int_Tables_number 74
_symmetry_space_group_name_Hall '-I 2b 2'
_cell_length_a 5.7408
_cell_length_b 5.8085
_cell_length_c 8.1608
_cell_angle_alpha 90.00
_cell_angle_beta 90.00
_cell_angle_gamma 90.00
loop_
_atom_site_label
_atom_site_fract_x
_atom_site_fract_y
_atom_site_fract_z
Li1 0.2500 0.2500 0.2500
V1 0.0000 0.0000 0.0000
P1 0.0000 0.2500 0.6301
O1 0.0000 0.0279 0.7367
O2 0.2210 0.2500 0.5149
```



Simulated powder diffraction line list
Compound: RbAlNiF6
Radiation: a wavelength of 1.5418 Å
Structure: a structure optimized by DFT (PBE+U)
Lines closer than 0.1° are merged.

Top 10 peaks for 2θ = 10–90°, low angle first:
Position (°2θ)	I (rel.)	hkl
24.90	27	1 1 2
25.01	14	2 0 0
29.16	65	1 2 1
29.33	100	1 0 3
30.48	20	0 2 2
46.45	17	0 3 3
46.71	15	3 2 1
46.83	19	3 0 3
51.08	43	2 2 4
71.72	15	1 2 7

Structural model:
```
data_RbAlNiF6
_symmetry_space_group_name_H-M 'I m m a'
_symmetry_Int_Tables_number 74
_symmetry_space_group_name_Hall '-I 2b 2'
_cell_length_a 7.1200
_cell_length_b 7.2043
_cell_length_c 10.1014
_cell_angle_alpha 90.00
_cell_angle_beta 90.00
_cell_angle_gamma 90.00
loop_
_atom_site_label
_atom_site_fract_x
_atom_site_fract_y
_atom_site_fract_z
Rb1 0.0000 0.2500 0.1288
Al1 0.2500 0.2500 0.7500
Ni1 0.0000 0.0000 0.5000
F1 0.0000 0.2500 0.4139
F2 0.0000 0.2500 0.7988
F3 0.2104 0.0698 0.6276
```



Simulated powder diffraction line list
Compound: KFeMo2O8
Radiation: a wavelength of 1.5418 Å
Structure: a structure optimized by DFT (PBE+U)
Lines closer than 0.1° are merged.

Top 10 peaks for 2θ = 10–90°, low angle first:
Position (°2θ)	I (rel.)	hkl
21.47	100	0 1 1
30.11	32	0 1 2
30.96	42	1 1 0
40.91	11	1 0 3
43.73	16	0 2 2
49.78	20	1 2 1
54.54	12	1 2 2
55.07	8	3 0 0
59.49	14	1 1 4
64.53	8	2 2 0

Structural model:
```
data_KFeMo2O8
_symmetry_space_group_name_H-M 'P -3 m 1'
_symmetry_Int_Tables_number 164
_symmetry_space_group_name_Hall '-P 3 2"'
_cell_length_a 5.7766
_cell_length_b 5.7766
_cell_length_c 7.3732
_cell_angle_alpha 90.00
_cell_angle_beta 90.00
_cell_angle_gamma 120.00
loop_
_atom_site_label
_atom_site_fract_x
_atom_site_fract_y
_atom_site_fract_z
K1 0.0000 0.0000 0.0000
Fe1 0.0000 0.0000 0.5000
Mo1 0.3333 0.6667 0.7380
O1 0.1609 0.3218 0.6634
O2 0.3333 0.6667 0.9752
```



Simulated powder diffraction line list
Compound: MgCoP2O7
Radiation: a wavelength of 1.5418 Å
Structure: a structure optimized by DFT (PBE+U)
Lines closer than 0.1° are merged.

Top 10 peaks for 2θ = 10–90°, low angle first:
Position (°2θ)	I (rel.)	hkl
16.29	54	0 1 0
17.39	33	0 0 1
20.67	100	0 1 1
24.75	67	1 1 0
25.09	29	1 -1 0
29.10	42	1 -1 1
30.01	31	1 0 -1
33.40	19	1 0 2
41.37	21	1 -1 2
41.70	20	2 0 2

Structural model:
```
data_MgCoP2O7
_symmetry_space_group_name_H-M 'P 1'
_symmetry_Int_Tables_number 1
_cell_length_a 5.1101
_cell_length_b 5.6570
_cell_length_c 5.6805
_cell_angle_alpha 74.10
_cell_angle_beta 68.00
_cell_angle_gamma 83.40
loop_
_symmetry_equiv_pos_as_xyz
'x,y,z'
loop_
_atom_site_label
_atom_site_fract_x
_atom_site_fract_y
_atom_site_fract_z
Mg1 0.0000 0.0000 0.0000
Co1 0.1747 0.1553 0.3869
P1 0.5481 0.9010 0.8451
P2 0.6909 0.4991 0.2019
O1 0.3578 0.9732 0.1020
O2 0.3616 0.9226 0.6856
O3 0.4013 0.4082 0.3952
O4 0.6466 0.6166 0.9176
O5 0.8160 0.7002 0.2542
O6 0.8222 0.0517 0.7226
O7 0.9091 0.2851 0.1557
```



Simulated powder diffraction line list
Compound: MgMn3Zn2O8
Radiation: a wavelength of 1.5418 Å
Structure: a structure optimized by DFT (PBE+U)
Lines closer than 0.1° are merged.

Top 10 peaks for 2θ = 10–90°, low angle first:
Position (°2θ)	I (rel.)	hkl
16.81	34	2 0 0
24.00	100	1 1 1
34.00	55	4 0 0
34.87	38	0 2 1
35.04	25	2 2 0
37.62	67	2 0 2
38.90	30	2 2 -1
49.41	55	4 2 -1
49.57	27	4 2 1
63.18	28	2 2 -3

Structural model:
```
data_MgMn3Zn2O8
_symmetry_space_group_name_H-M 'C 1 2/m 1'
_symmetry_Int_Tables_number 12
_cell_length_a 10.5481
_cell_length_b 5.8593
_cell_length_c 5.3836
_cell_angle_alpha 90.00
_cell_angle_beta 90.35
_cell_angle_gamma 90.00
loop_
_symmetry_equiv_pos_as_xyz
'x,y,z'
'-x,-y,-z'
'-x,y,-z'
'x,-y,z'
'x+1/2,y+1/2,z'
'-x+1/2,-y+1/2,-z'
'-x+1/2,y+1/2,-z'
'x+1/2,-y+1/2,z'
loop_
_atom_site_label
_atom_site_fract_x
_atom_site_fract_y
_atom_site_fract_z
Mg1 0.0000 0.0000 0.0000
Mn1 0.0000 0.2525 0.5000
Mn2 0.0000 0.5000 0.0000
Zn1 0.2490 0.5000 0.8336
O1 0.0861 0.5000 0.3262
O2 0.0918 0.0000 0.3388
O3 0.1134 0.2673 0.8727
```



Simulated powder diffraction line list
Compound: Na3V5O10
Radiation: a wavelength of 1.5418 Å
Structure: a structure optimized by DFT (PBE+U)
Lines closer than 0.1° are merged.

Top 10 peaks for 2θ = 10–90°, low angle first:
Position (°2θ)	I (rel.)	hkl
15.92	100	1 -1 0
32.16	11	2 -2 0
35.84	11	2 1 -2
40.18	30	2 0 2
40.55	30	0 3 -2
41.60	27	-2 1 4
56.29	7	-4 1 2
56.44	8	2 -3 4
56.62	7	-2 4 2
60.35	8	2 3 0

Structural model:
```
data_Na3V5O10
_symmetry_space_group_name_H-M 'P -1'
_symmetry_Int_Tables_number 2
_cell_length_a 6.5800
_cell_length_b 7.2524
_cell_length_c 10.2566
_cell_angle_alpha 97.25
_cell_angle_beta 104.23
_cell_angle_gamma 108.74
loop_
_symmetry_equiv_pos_as_xyz
'x,y,z'
'-x,-y,-z'
loop_
_atom_site_label
_atom_site_fract_x
_atom_site_fract_y
_atom_site_fract_z
Na1 0.0000 0.0000 0.0000
Na2 0.0000 0.0000 0.5000
Na3 0.3933 0.3971 0.0975
Na4 0.3937 0.3970 0.5982
V1 0.1021 0.5975 0.3963
V2 0.1051 0.5990 0.8998
V3 0.2904 0.8026 0.1982
V4 0.2962 0.8025 0.7013
V5 0.5000 0.0000 0.0000
V6 0.5000 0.0000 0.5000
O1 0.0127 0.3218 0.9457
O2 0.0149 0.3287 0.4556
O3 0.1897 0.8724 0.3628
O4 0.1937 0.8753 0.8593
O5 0.2133 0.5247 0.7391
O6 0.2157 0.5230 0.2552
O7 0.3877 0.0784 0.1435
O8 0.3928 0.0758 0.6464
O9 0.4088 0.7217 0.5400
O10 0.4180 0.7250 0.0484
```



Simulated powder diffraction line list
Compound: MgMn8O13F3
Radiation: a wavelength of 1.5418 Å
Structure: a structure optimized by DFT (PBE+U)
Lines closer than 0.1° are merged.

Top 10 peaks for 2θ = 10–90°, low angle first:
Position (°2θ)	I (rel.)	hkl
23.76	100	1 -1 1
25.32	96	1 1 -1
28.62	90	1 0 2
30.85	70	1 -2 0
30.99	72	1 2 0
31.09	71	1 0 -2
35.07	62	2 1 1
35.74	46	0 2 2
52.20	47	0 0 4
62.49	42	2 3 3

Structural model:
```
data_MgMn8O13F3
_symmetry_space_group_name_H-M 'P 1'
_symmetry_Int_Tables_number 1
_cell_length_a 5.7581
_cell_length_b 6.7153
_cell_length_c 7.0561
_cell_angle_alpha 85.95
_cell_angle_beta 84.81
_cell_angle_gamma 89.91
loop_
_symmetry_equiv_pos_as_xyz
'x,y,z'
loop_
_atom_site_label
_atom_site_fract_x
_atom_site_fract_y
_atom_site_fract_z
Mg1 0.0000 0.0000 0.0000
Mn1 0.2333 0.4828 0.0263
Mn2 0.2615 0.0187 0.5203
Mn3 0.4441 0.5146 0.5074
Mn4 0.4795 0.0009 0.0383
Mn5 0.7185 0.2712 0.2593
Mn6 0.7660 0.7464 0.7638
Mn7 0.9225 0.2875 0.7211
Mn8 0.9706 0.7191 0.3064
O1 0.2069 0.3038 0.5513
O2 0.2118 0.7781 0.0835
O3 0.2246 0.7348 0.4819
O4 0.2493 0.2041 0.9817
O5 0.4863 0.4657 0.2435
O6 0.4912 0.0557 0.2947
O7 0.6750 0.3047 0.5252
O8 0.7177 0.6990 0.5003
O9 0.7270 0.8084 0.0333
O10 0.7311 0.2017 0.9910
O11 0.9713 0.5344 0.8184
O12 0.9773 0.4511 0.2234
O13 0.9867 0.9984 0.7107
F1 0.4624 0.5429 0.7971
F2 0.4914 0.9484 0.7587
F3 0.9582 0.0383 0.2942
```